The following is a theoretical powder diffraction line list of MnGe2Bi2Pt7. It was derived from a GGA-PBE-relaxed structure, using Cu Ka.

a = 3.9476 Å, b = 3.9476 Å, c = 30.7169 Å
α = 90.00°, β = 90.00°, γ = 90.00°
Space group I4/mmm (No. 139)
Inequivalent atoms, fractional coordinates:
Mn 0.0000 0.0000 0.0000 [2 per cell]
Ge 0.0000 0.0000 0.3841 [4 per cell]
Bi 0.0000 0.0000 0.2106 [4 per cell]
Pt 0.0000 0.0000 0.3044 [4 per cell]
Pt 0.0000 0.0000 0.5000 [2 per cell]
Pt 0.0000 0.5000 0.0649 [8 per cell]

Principal peaks in the range 2θ = 10–90°, by intensity:
hkl 1 1 10, 2θ 43.82, I = 100.0
hkl 1 1 2, 2θ 32.60, I = 86.9
hkl 2 0 0, 2θ 45.98, I = 76.9
hkl 1 1 6, 2θ 36.67, I = 64.4
hkl 0 0 8, 2θ 23.17, I = 47.6
hkl 0 0 4, 2θ 11.52, I = 36.5
hkl 3 1 10, 2θ 83.61, I = 32.0
hkl 2 2 0, 2θ 67.05, I = 28.5
hkl 1 1 8, 2θ 39.93, I = 23.3
hkl 2 0 8, 2θ 52.10, I = 22.6